(1)
For Rb2H3F6, a structure optimized by DFT (PBE) gives the theoretical X-ray diffraction stick pattern in this record (Cu Kα (λ = 1.5418 Å)).

Peak list (6 most intense, 2θ from 15° to 90°, low angle first)
two_theta	I/Imax
17.5	100
23.0	89
28.6	84
28.7	86
28.8	84
40.4	80

Cell and atoms:
abc: 13.400 7.740 11.403
angles: 90.00 113.59 90.00
Space group C2/c (No. 15)
Inequivalent atoms, fractional coordinates:
Rb 0.090 0.250 0.019 (multiplicity 8)
H 0.000 0.038 0.250 (multiplicity 4)
H 0.144 0.397 0.752 (multiplicity 8)
F 0.004 0.037 0.352 (multiplicity 8)
F 0.094 0.439 0.648 (multiplicity 8)
F 0.192 0.354 0.855 (multiplicity 8)

(2)
For TlRe2, a structure optimized by DFT (PBE) gives the theoretical X-ray diffraction stick pattern in this record (Cu Kα (λ = 1.5418 Å)).

Peak list (6 most intense, 2θ from 15° to 90°, low angle first)
two_theta	I/Imax
28.6	23
33.1	50
37.1	100
40.9	44
42.9	73
48.3	23

Cell and atoms:
abc: 12.478 2.983 3.047
angles: 90.00 91.45 90.00
Space group C2/m (No. 12)
Inequivalent atoms, fractional coordinates:
Tl 0.000 0.000 0.000 (multiplicity 2)
Re 0.193 0.500 0.745 (multiplicity 4)

(3)
For NaGeBiAu3, a structure optimized by DFT (PBE) gives the theoretical X-ray diffraction stick pattern in this record (Cu Kα (λ = 1.5418 Å)).

Peak list (6 most intense, 2θ from 15° to 90°, low angle first)
two_theta	I/Imax
18.8	100
28.9	30
35.1	41
37.6	34
39.1	60
39.6	57

Cell and atoms:
abc: 6.911 12.122 7.106
angles: 90.00 93.90 90.00
Space group C2/c (No. 15)
Inequivalent atoms, fractional coordinates:
Na 0.000 0.243 0.250 (multiplicity 4)
Ge 0.000 0.020 0.750 (multiplicity 4)
Bi 0.000 0.494 0.750 (multiplicity 4)
Au 0.000 0.252 0.750 (multiplicity 4)
Au 0.232 0.122 0.999 (multiplicity 8)

(4)
For TbSm3Th2Sb6, a structure optimized by DFT (PBE) gives the theoretical X-ray diffraction stick pattern in this record (Cu Kα (λ = 1.5418 Å)).

Peak list (6 most intense, 2θ from 15° to 90°, low angle first)
two_theta	I/Imax
28.2	100
40.3	64
49.9	21
66.0	18
66.1	18
73.2	13

Cell and atoms:
abc: 19.499 4.480 8.937
angles: 90.00 103.30 90.00
Space group C2/m (No. 12)
Inequivalent atoms, fractional coordinates:
Tb 0.000 0.000 0.000 (multiplicity 2)
Sm 0.000 0.000 0.500 (multiplicity 2)
Sm 0.167 0.500 0.834 (multiplicity 4)
Th 0.165 0.500 0.331 (multiplicity 4)
Sb 0.001 0.500 0.754 (multiplicity 4)
Sb 0.165 0.000 0.081 (multiplicity 4)
Sb 0.167 0.000 0.585 (multiplicity 4)

(5)
For V13Os2, a structure optimized by DFT (PBE) gives the theoretical X-ray diffraction stick pattern in this record (Cu Kα (λ = 1.5418 Å)).

Peak list (6 most intense, 2θ from 15° to 90°, low angle first)
two_theta	I/Imax
16.1	100
24.0	47
30.3	36
40.5	51
41.8	73
45.5	54

Cell and atoms:
abc: 6.6453 6.6453 19.3389
angles: 90.00 90.00 120.00
Space group R-3m (No. 166, hexagonal axes)
Inequivalent atoms, fractional coordinates:
V 0.0000 0.0000 0.0000 (multiplicity 3)
V 0.0743 0.5372 0.2936 (multiplicity 18)
V 0.0739 0.5370 0.4265 (multiplicity 18)
Os 0.0000 0.0000 0.1314 (multiplicity 6)

(6)
For Li5P2Pd5, a structure optimized by DFT (PBE) gives the theoretical X-ray diffraction stick pattern in this record (Cu Kα (λ = 1.5418 Å)).

Peak list (6 most intense, 2θ from 15° to 90°, low angle first)
two_theta	I/Imax
24.1	72
25.2	60
28.0	41
41.2	80
42.2	100
45.2	80

Cell and atoms:
abc: 10.061 4.011 8.592
angles: 90.00 111.08 90.00
Space group C2/m (No. 12)
Inequivalent atoms, fractional coordinates:
Li 0.000 0.000 0.000 (multiplicity 2)
Li 0.090 0.000 0.757 (multiplicity 4)
Li 0.172 0.000 0.509 (multiplicity 4)
P 0.084 0.500 0.261 (multiplicity 4)
Pd 0.000 0.500 0.500 (multiplicity 2)
Pd 0.135 0.500 0.978 (multiplicity 4)
Pd 0.219 0.000 0.244 (multiplicity 4)

(7)
For Sr5AgPd, a structure optimized by DFT (PBE) gives the theoretical X-ray diffraction stick pattern in this record (Cu Kα (λ = 1.5418 Å)).

Peak list (6 most intense, 2θ from 15° to 90°, low angle first)
two_theta	I/Imax
25.1	100
28.4	69
29.3	95
31.1	58
31.5	82
39.7	67

Cell and atoms:
abc: 8.713 4.541 14.417
angles: 90.00 93.18 90.00
Space group P2_1/m (No. 11)
Inequivalent atoms, fractional coordinates:
Sr 0.063 0.250 0.165 (multiplicity 2)
Sr 0.147 0.750 0.572 (multiplicity 2)
Sr 0.326 0.750 0.017 (multiplicity 2)
Sr 0.343 0.250 0.780 (multiplicity 2)
Sr 0.365 0.250 0.373 (multiplicity 2)
Ag 0.067 0.750 0.337 (multiplicity 2)
Pd 0.437 0.250 0.152 (multiplicity 2)

(8)
For Sm5Er6, a structure optimized by DFT (PBE) gives the theoretical X-ray diffraction stick pattern in this record (Cu Kα (λ = 1.5418 Å)).

Peak list (6 most intense, 2θ from 15° to 90°, low angle first)
two_theta	I/Imax
28.9	69
30.5	100
31.1	91
31.9	89
34.8	58
35.0	74

Cell and atoms:
abc: 9.023 13.065 6.379
angles: 90.00 107.41 90.00
Space group C2/m (No. 12)
Inequivalent atoms, fractional coordinates:
Sm 0.000 0.000 0.000 (multiplicity 2)
Sm 0.000 0.130 0.500 (multiplicity 4)
Sm 0.000 0.261 0.000 (multiplicity 4)
Er 0.162 0.500 0.192 (multiplicity 4)
Er 0.176 0.371 0.674 (multiplicity 8)